Starting from a structure optimized by DFT (PBE), the powder diffraction line list of Li7Sm3Hg4 was calculated for Cu Kα.
Kinematic intensities with the Lorentz-polarization factor, no thermal factor.

Main lines, in order of rising 2θ (2θ = 5–70°):
hkl  2θ/deg  d (Å)  I_rel
2 0 0  13.08  6.766  35
0 0 2  23.33  3.813  41
4 0 -2  23.55  3.777  28
1 1 1  24.44  3.643  72
3 1 -1  24.54  3.627  91
2 0 2  32.74  2.735  53
5 1 -1  33.76  2.655  80
3 1 -3  34.63  2.590  100
0 2 0  36.82  2.441  54
2 2 2  50.08  1.821  33

Atomic structure:
```
data_Li7Sm3Hg4
_chemical_formula_sum 'Li14 Sm6 Hg8'
_space_group_name_H-M_alt 'C 1 2/m 1'
_space_group_IT_number 12
_cell_length_a 16.269
_cell_length_b 4.882
_cell_length_c 9.169
_cell_angle_alpha 90.00
_cell_angle_beta 123.72
_cell_angle_gamma 90.00
loop_
_space_group_symop_operation_xyz
'x,y,z'
'-x,-y,-z'
'-x,y,-z'
'x,-y,z'
'x+1/2,y+1/2,z'
'-x+1/2,-y+1/2,-z'
'-x+1/2,y+1/2,-z'
'x+1/2,-y+1/2,z'
loop_
_atom_site_label
_atom_site_type_symbol
_atom_site_fract_x
_atom_site_fract_y
_atom_site_fract_z
Li1 Li 0.000 0.000 0.000
Li2 Li 0.005 0.500 0.176
Li3 Li 0.142 0.000 0.941
Li4 Li 0.158 0.500 0.509
Sm1 Sm 0.000 0.000 0.500
Sm2 Sm 0.224 0.500 0.226
Hg1 Hg 0.136 0.000 0.338
Hg2 Hg 0.150 0.500 0.797
```